Theoretical X-ray diffraction stick pattern
Compound: Cd2Pt6Au
Radiation: CuKα
Structure: a PBE-relaxed structure
Peak positions follow from Bragg's law for the DFT cell and can differ from measured ones.

Structure:
```
Cd2Pt6Au
1.0
8.6614 0.0000 0.0000
0.0000 8.6614 0.0000
0.0000 0.0000 4.0095
Cd Pt Au
4 12 2
direct
0.1650 0.1650 0.0000
0.3350 0.6650 0.5000
0.6650 0.3350 0.5000
0.8350 0.8350 0.0000
0.0071 0.6621 0.5000
0.1621 0.4929 0.0000
0.1710 0.8290 0.0000
0.3290 0.3290 0.5000
0.3379 0.9929 0.5000
0.4929 0.1621 0.0000
0.5071 0.8379 0.0000
0.6621 0.0071 0.5000
0.6710 0.6710 0.5000
0.8290 0.1710 0.0000
0.8379 0.5071 0.0000
0.9929 0.3379 0.5000
0.0000 0.0000 0.5000
0.5000 0.5000 0.0000
```

Largest 8 diffraction maxima, in order of rising 2θ, 2θ = 10–90°:
two_theta, I_rel
38.4, 100
44.4, 33
45.2, 16
64.6, 11
65.2, 21
77.7, 25
78.9, 13
82.3, 11

Theoretical X-ray diffraction stick pattern
Compound: RbCaTl6
Radiation: CuKα
Structure: a PBE-relaxed structure
Peak positions follow from Bragg's law for the DFT cell and can differ from measured ones.

Structure:
```
RbCaTl6
1.0
5.5328 0.0000 0.0000
0.0000 7.5579 0.0000
0.0000 0.0000 6.2420
Rb Ca Tl
1 1 6
direct
0.0000 0.0000 0.0000
0.5000 0.5000 0.2992
0.0000 0.2772 0.4938
0.0000 0.5000 0.9745
0.0000 0.7228 0.4938
0.5000 0.0000 0.3957
0.5000 0.2754 0.8167
0.5000 0.7246 0.8167
```

Largest 8 diffraction maxima, in order of rising 2θ, 2θ = 10–90°:
two_theta, I_rel
27.6, 19
28.6, 15
32.1, 100
32.4, 34
33.0, 38
50.0, 14
57.5, 22
60.9, 16

Theoretical X-ray diffraction stick pattern
Compound: Pa3Ga8Tc3
Radiation: CuKα
Structure: a PBE-relaxed structure
Peak positions follow from Bragg's law for the DFT cell and can differ from measured ones.

Structure:
```
Pa3Ga8Tc3
1.0
-2.1200 4.9145 6.1793
2.1200 -4.9145 6.1793
2.1200 4.9145 -6.1793
Pa Ga Tc
3 8 3
direct
0.0000 0.0000 0.0000
0.3431 0.3431 0.0000
0.6569 0.6569 0.0000
0.0440 0.6716 0.3724
0.1505 0.8744 0.2761
0.2992 0.6716 0.6276
0.4017 0.1256 0.2761
0.5983 0.8744 0.7239
0.7008 0.3284 0.3724
0.8495 0.1256 0.7239
0.9560 0.3284 0.6276
0.2801 0.5000 0.7801
0.5000 0.0000 0.5000
0.7199 0.5000 0.2199
```

Largest 8 diffraction maxima, in order of rising 2θ, 2θ = 10–90°:
two_theta, I_rel
22.8, 14
30.2, 24
34.6, 28
35.0, 25
35.4, 100
42.6, 28
44.0, 16
65.1, 17

Theoretical X-ray diffraction stick pattern
Compound: Rb3In2Hg4
Radiation: CuKα
Structure: a PBE-relaxed structure
Peak positions follow from Bragg's law for the DFT cell and can differ from measured ones.

Structure:
```
Rb3In2Hg4
1.0
6.7887 -2.6508 0.0000
6.7887 2.6508 0.0000
-4.0286 0.0000 9.5496
Rb In Hg
3 2 4
direct
0.0000 0.0000 0.0000
0.3831 0.3831 0.3116
0.6169 0.6169 0.6884
0.3263 0.3263 0.6645
0.6737 0.6737 0.3355
0.1145 0.1145 0.4157
0.2674 0.2674 0.9256
0.7326 0.7326 0.0744
0.8855 0.8855 0.5843
```

Largest 8 diffraction maxima, in order of rising 2θ, 2θ = 10–90°:
two_theta, I_rel
14.2, 41
25.9, 82
28.0, 100
32.7, 100
33.4, 48
33.8, 65
39.4, 35
50.1, 41

Theoretical X-ray diffraction stick pattern
Compound: Ti2Mn3Ge
Radiation: CuKα
Structure: a PBE-relaxed structure
Peak positions follow from Bragg's law for the DFT cell and can differ from measured ones.

Structure:
```
Ti2Mn3Ge
1.0
2.3763 1.3720 4.0512
-2.3763 1.3720 4.0512
0.0000 -2.7440 4.0512
Ti Mn Ge
2 3 1
direct
0.1201 0.1201 0.1201
0.8799 0.8799 0.8799
0.0000 0.5000 0.5000
0.5000 0.0000 0.5000
0.5000 0.5000 0.0000
0.5000 0.5000 0.5000
```

Largest 8 diffraction maxima, in order of rising 2θ, 2θ = 10–90°:
two_theta, I_rel
22.8, 31
37.9, 28
43.2, 63
44.2, 100
44.7, 56
46.6, 72
72.1, 25
78.2, 25

Theoretical X-ray diffraction stick pattern
Compound: Tb6DyY
Radiation: CuKα
Structure: a PBE-relaxed structure
Peak positions follow from Bragg's law for the DFT cell and can differ from measured ones.

Structure:
```
Tb6DyY
1.0
5.0361 0.0000 0.0000
0.0000 5.0361 0.0000
0.0000 0.0000 10.0719
Tb Dy Y
6 1 1
direct
0.0000 0.0000 0.0000
0.0000 0.0000 0.5000
0.0000 0.5000 0.2491
0.0000 0.5000 0.7509
0.5000 0.0000 0.2491
0.5000 0.0000 0.7509
0.5000 0.5000 0.0000
0.5000 0.5000 0.5000
```

Largest 8 diffraction maxima, in order of rising 2θ, 2θ = 10–90°:
two_theta, I_rel
30.8, 100
35.7, 51
51.3, 36
61.0, 43
64.0, 12
75.5, 6
83.7, 18
86.4, 17

Theoretical X-ray diffraction stick pattern
Compound: Tb4Ga2Te
Radiation: CuKα
Structure: a PBE-relaxed structure
Peak positions follow from Bragg's law for the DFT cell and can differ from measured ones.

Structure:
```
Tb4Ga2Te
1.0
-4.5424 4.5424 4.5022
4.5424 -4.5424 4.5022
4.5424 4.5424 -4.5022
Tb Ga Te
8 4 2
direct
0.1110 0.5070 0.7482
0.1128 0.0088 0.7518
0.2570 0.3610 0.2482
0.4930 0.2412 0.6040
0.6372 0.8890 0.3960
0.6390 0.8872 0.8960
0.7588 0.3628 0.2518
0.9912 0.7430 0.1040
0.0070 0.1250 0.3820
0.3750 0.9930 0.1180
0.7430 0.6250 0.6180
0.8750 0.2570 0.8820
0.2500 0.7500 0.5000
0.5000 0.5000 0.0000
```

Largest 8 diffraction maxima, in order of rising 2θ, 2θ = 10–90°:
two_theta, I_rel
27.9, 16
31.1, 100
31.4, 55
37.1, 82
37.2, 19
49.2, 17
51.3, 18
63.1, 17

Theoretical X-ray diffraction stick pattern
Compound: Pr3ZnGa2Pd6
Radiation: CuKα
Structure: a PBE-relaxed structure
Peak positions follow from Bragg's law for the DFT cell and can differ from measured ones.

Structure:
```
Pr3ZnGa2Pd6
1.0
5.7386 0.0000 0.0000
-2.8693 4.9698 0.0000
0.0000 0.0000 8.7137
Pr Zn Ga Pd
3 1 2 6
direct
0.0000 0.0000 0.0000
0.3333 0.6667 0.6194
0.6667 0.3333 0.3806
0.0000 0.0000 0.5000
0.3333 0.6667 0.0249
0.6667 0.3333 0.9751
0.1728 0.3457 0.2773
0.1728 0.8272 0.2773
0.3457 0.1728 0.7227
0.6543 0.8272 0.2773
0.8272 0.1728 0.7227
0.8272 0.6543 0.7227
```

Largest 8 diffraction maxima, in order of rising 2θ, 2θ = 10–90°:
two_theta, I_rel
27.2, 23
30.8, 28
31.2, 30
35.8, 22
37.5, 65
37.6, 100
41.9, 60
65.0, 31

Theoretical X-ray diffraction stick pattern
Compound: AlBi2Se4
Radiation: CuKα
Structure: a PBE-relaxed structure
Peak positions follow from Bragg's law for the DFT cell and can differ from measured ones.

Structure:
```
AlBi2Se4
1.0
7.1771 0.0000 0.0000
0.0000 7.0585 0.0000
-2.3715 0.0000 8.0498
Al Bi Se
2 4 8
direct
0.2222 0.2500 0.2946
0.7778 0.7500 0.7054
0.1889 0.7500 0.0533
0.2929 0.7500 0.5638
0.7071 0.2500 0.4362
0.8111 0.2500 0.9467
0.0069 0.0078 0.7686
0.0069 0.4922 0.7686
0.4094 0.2500 0.5826
0.4409 0.2500 0.1266
0.5591 0.7500 0.8734
0.5906 0.7500 0.4174
0.9931 0.5078 0.2314
0.9931 0.9922 0.2314
```

Largest 8 diffraction maxima, in order of rising 2θ, 2θ = 10–90°:
two_theta, I_rel
18.0, 87
25.2, 47
28.7, 41
29.0, 38
31.4, 53
31.7, 44
33.8, 100
36.5, 33

Theoretical X-ray diffraction stick pattern
Compound: CePr2O5
Radiation: CuKα
Structure: a PBE-relaxed structure
Peak positions follow from Bragg's law for the DFT cell and can differ from measured ones.

Structure:
```
CePr2O5
1.0
6.2965 -2.9621 0.0000
6.2965 2.9621 0.0000
-3.2542 0.0000 7.4356
Ce Pr O
2 4 10
direct
0.0000 0.0000 0.0000
0.0000 0.0000 0.5000
0.3495 0.3667 0.7421
0.3667 0.3495 0.2421
0.6333 0.6505 0.7579
0.6505 0.6333 0.2579
0.0102 0.3391 0.6461
0.1967 0.8033 0.7500
0.2515 0.5976 0.0394
0.3391 0.0102 0.1461
0.4024 0.7485 0.4606
0.5976 0.2515 0.5394
0.6609 0.9898 0.8539
0.7485 0.4024 0.9606
0.8033 0.1967 0.2500
0.9898 0.6609 0.3539
```

Largest 8 diffraction maxima, in order of rising 2θ, 2θ = 10–90°:
two_theta, I_rel
26.7, 87
27.7, 100
30.2, 39
30.7, 30
31.9, 32
43.6, 40
47.5, 24
53.3, 22

Theoretical X-ray diffraction stick pattern
Compound: La2NdSm2Y
Radiation: CuKα
Structure: a PBE-relaxed structure
Peak positions follow from Bragg's law for the DFT cell and can differ from measured ones.

Structure:
```
La2NdSm2Y
1.0
6.7719 0.0000 0.0000
0.0000 18.2612 0.0000
0.0000 0.0000 3.4599
La Nd Sm Y
4 2 4 2
direct
0.2306 0.1850 0.0000
0.2694 0.6850 0.5000
0.7306 0.3150 0.5000
0.7694 0.8150 0.0000
0.0000 0.5000 0.0000
0.5000 0.0000 0.5000
0.2259 0.3534 0.5000
0.2741 0.8534 0.0000
0.7259 0.1466 0.0000
0.7741 0.6466 0.5000
0.0000 0.0000 0.0000
0.5000 0.5000 0.5000
```

Largest 8 diffraction maxima, in order of rising 2θ, 2θ = 10–90°:
two_theta, I_rel
28.1, 81
29.3, 66
29.7, 100
32.2, 33
32.9, 54
37.5, 34
40.1, 55
54.1, 41

Theoretical X-ray diffraction stick pattern
Compound: H6Pd3Pt2
Radiation: CuKα
Structure: a PBE-relaxed structure
Peak positions follow from Bragg's law for the DFT cell and can differ from measured ones.

Structure:
```
H6Pd3Pt2
1.0
4.6487 0.0000 0.0000
-2.3243 4.0259 0.0000
0.0000 0.0000 5.5765
H Pd Pt
6 3 2
direct
0.0506 0.3244 0.2018
0.2738 0.9494 0.2018
0.3244 0.2738 0.7982
0.6756 0.7262 0.2018
0.7262 0.0506 0.7982
0.9494 0.6756 0.7982
0.0000 0.0000 0.5000
0.3333 0.6667 0.8542
0.6667 0.3333 0.1458
0.3333 0.6667 0.3571
0.6667 0.3333 0.6429
```

Largest 8 diffraction maxima, in order of rising 2θ, 2θ = 10–90°:
two_theta, I_rel
15.9, 24
22.1, 28
27.3, 14
38.7, 90
39.3, 100
56.4, 35
70.1, 16
70.5, 36